Structure and computed powder diffractogram of Ti2O3 (DFT lattice parameters and positions (GGA-PBE); Cu Kα (λ = 1.5418 Å)).
Neutral-atom scattering factors, no anomalous dispersion.

Largest 10 diffraction maxima, in order of rising 2θ, 2θ from 10° to 80°:
- hkl 0 0 1, 2θ 12.3, d 7.212, intensity 49
- hkl 1 0 0, 2θ 17.6, d 5.042, intensity 23
- hkl 1 0 -1, 2θ 19.3, d 4.591, intensity 100
- hkl 1 0 2, 2θ 33.3, d 2.687, intensity 24
- hkl 1 1 0, 2θ 34.8, d 2.579, intensity 57
- hkl 0 1 2, 2θ 39.0, d 2.307, intensity 33
- hkl 1 1 2, 2θ 45.3, d 2.002, intensity 28
- hkl 1 1 -3, 2θ 49.1, d 1.857, intensity 58
- hkl 1 1 3, 2θ 54.8, d 1.674, intensity 34
- hkl 3 1 -1, 2θ 62.4, d 1.489, intensity 36

Cell lengths 5.148, 3.002, 7.364 Å; angles 90.00, 101.66, 90.00 degrees
Atoms (fractional coordinates):
Ti1 0.159 0.250 0.158
Ti2 0.269 0.250 0.523
Ti3 0.731 0.750 0.477
Ti4 0.841 0.750 0.842
O1 0.059 0.750 0.346
O2 0.214 0.750 0.004
O3 0.485 0.750 0.669
O4 0.515 0.250 0.331
O5 0.786 0.250 0.996
O6 0.941 0.250 0.654